(1)
The following is a theoretical powder X-ray diffraction pattern of Ba2CuSn2F14. It was derived from a cell relaxed with GGA-PBE, using Cu Kα (weighted mean of Kα1 and Kα2).
Kinematic intensities with the Lorentz-polarization factor, no thermal factor.

Top 8 peaks for 2θ from 10° to 90°, in order of falling intensity:
2θ 24.19, 3.678 Å, rel. 100, hkl 3 1 0; 2θ 28.26, 3.158 Å, rel. 62, hkl 1 1 -4; 2θ 22.39, 3.971 Å, rel. 44, hkl 0 0 4; 2θ 17.04, 5.205 Å, rel. 41, hkl 1 1 0; 2θ 26.71, 3.338 Å, rel. 35, hkl 4 0 2; 2θ 33.13, 2.704 Å, rel. 24, hkl 4 0 -4; 2θ 33.26, 2.693 Å, rel. 22, hkl 3 1 4; 2θ 17.94, 4.944 Å, rel. 16, hkl 1 1 1

Crystal structure
Unit cell a=14.709 b=5.565 c=15.883 alpha=90.00 beta=90.27 gamma=90.00
Space group C2/c (No. 15)
One atom of each set of equivalent atoms:
Ba1 0.171 0.092 0.132 x8
Cu1 0.000 0.500 0.000 x4
Sn1 0.126 0.042 0.375 x8
F1 0.001 0.075 0.855 x8
F2 0.057 0.426 0.099 x8
F3 0.085 0.219 0.481 x8
F4 0.117 0.292 0.286 x8
F5 0.158 0.230 0.954 x8
F6 0.186 0.164 0.785 x8
F7 0.249 0.333 0.598 x8

---

(2)
The following is a theoretical powder X-ray diffraction pattern of Ba2Ti2CuF14. It was derived from a cell relaxed with GGA-PBE, using Cu Kα (weighted mean of Kα1 and Kα2).
Kinematic intensities with the Lorentz-polarization factor, no thermal factor.

Top 8 peaks for 2θ from 10° to 90°, in order of falling intensity:
2θ 24.70, 3.604 Å, rel. 100, hkl 3 1 0; 2θ 29.10, 3.069 Å, rel. 48, hkl 1 1 -4; 2θ 37.13, 2.422 Å, rel. 37, hkl 2 0 6; 2θ 27.28, 3.269 Å, rel. 34, hkl 4 0 2; 2θ 23.08, 3.853 Å, rel. 33, hkl 0 0 4; 2θ 34.05, 2.633 Å, rel. 32, hkl 3 1 4; 2θ 20.96, 4.239 Å, rel. 29, hkl 1 1 2; 2θ 53.96, 1.699 Å, rel. 23, hkl 3 1 -8

Crystal structure
Unit cell a=14.466 b=5.421 c=15.412 alpha=90.00 beta=90.03 gamma=90.00
Space group C2/c (No. 15)
One atom of each set of equivalent atoms:
Ba1 0.172 0.077 0.126 x8
Ti1 0.127 0.030 0.372 x8
Cu1 0.000 0.500 0.000 x4
F1 0.007 0.070 0.852 x8
F2 0.062 0.441 0.102 x8
F3 0.083 0.206 0.475 x8
F4 0.123 0.281 0.292 x8
F5 0.153 0.243 0.950 x8
F6 0.183 0.171 0.785 x8
F7 0.247 0.141 0.406 x8